(1)
For PuAlHgAu, a crystal structure in Alexandria, relaxed with PBE gives the calculated powder XRD pattern in this record (a wavelength of 1.5418 Å).
Peak positions follow from Bragg's law for the DFT cell and can differ from measured ones.

Most intense lines, 10 to 90 degrees two-theta, low angle first:
21.9 deg, 4.066 Å, rel. 224
36.1 deg, 2.490 Å, rel. 1000
42.6 deg, 2.123 Å, rel. 126
51.9 deg, 1.761 Å, rel. 180
64.9 deg, 1.438 Å, rel. 373
87.6 deg, 1.114 Å, rel. 174

```
PuAlHgAu
1.0
0.0000 3.5213 3.5213
3.5213 0.0000 3.5213
3.5213 3.5213 0.0000
Pu Al Hg Au
1 1 1 1
Direct
0.0000 0.0000 0.0000
0.5000 0.5000 0.5000
0.2500 0.2500 0.2500
0.7500 0.7500 0.7500
```

(2)
For Pm3Ho2Er6, a crystal structure in Alexandria, relaxed with PBE gives the calculated powder XRD pattern in this record (a wavelength of 1.5418 Å).
Peak positions follow from Bragg's law for the DFT cell and can differ from measured ones.

Most intense lines, 10 to 90 degrees two-theta, low angle first:
28.8 deg, 3.097 Å, rel. 1000
30.8 deg, 2.902 Å, rel. 248
34.5 deg, 2.599 Å, rel. 813
38.1 deg, 2.361 Å, rel. 623
50.9 deg, 1.794 Å, rel. 249
66.6 deg, 1.405 Å, rel. 244

```
Pm3Ho2Er6
1.0
-2.3614 2.3614 16.5485
2.3614 -2.3614 16.5485
2.3614 2.3614 -16.5485
Pm Ho Er
3 2 6
Direct
0.0000 0.0000 0.0000
0.2031 0.2031 0.0000
0.7969 0.7969 0.0000
0.4538 0.4538 0.0000
0.5462 0.5462 0.0000
0.1207 0.6207 0.5000
0.3069 0.3069 0.0000
0.3793 0.8793 0.5000
0.6207 0.1207 0.5000
0.6931 0.6931 0.0000
0.8793 0.3793 0.5000
```

(3)
For Tl3Zn5, a crystal structure in Alexandria, relaxed with PBE gives the calculated powder XRD pattern in this record (a wavelength of 1.5418 Å).
Peak positions follow from Bragg's law for the DFT cell and can differ from measured ones.

Most intense lines, 10 to 90 degrees two-theta, low angle first:
26.5 deg, 3.360 Å, rel. 1000
33.3 deg, 2.694 Å, rel. 485
34.7 deg, 2.584 Å, rel. 692
40.2 deg, 2.242 Å, rel. 242
42.0 deg, 2.149 Å, rel. 276
43.0 deg, 2.102 Å, rel. 538

```
Tl3Zn5
1.0
9.3330 0.0000 0.0000
-4.6665 8.0826 0.0000
0.0000 0.0000 4.8421
Tl Zn
6 10
Direct
0.0000 0.3781 0.2500
0.0000 0.6219 0.7500
0.3781 0.0000 0.2500
0.3781 0.3781 0.7500
0.6219 0.0000 0.7500
0.6219 0.6219 0.2500
0.0000 0.1713 0.7500
0.0000 0.8288 0.2500
0.1713 0.0000 0.7500
0.1713 0.1713 0.2500
0.3333 0.6667 0.0000
0.3333 0.6667 0.5000
0.6667 0.3333 0.0000
0.6667 0.3333 0.5000
0.8288 0.0000 0.2500
0.8288 0.8288 0.7500
```

(4)
For Ca2HgH, a crystal structure in Alexandria, relaxed with PBE gives the calculated powder XRD pattern in this record (a wavelength of 1.5418 Å).
Peak positions follow from Bragg's law for the DFT cell and can differ from measured ones.

Most intense lines, 10 to 90 degrees two-theta, low angle first:
13.7 deg, 6.448 Å, rel. 652
24.3 deg, 3.664 Å, rel. 520
31.3 deg, 2.856 Å, rel. 1000
33.1 deg, 2.710 Å, rel. 221
33.2 deg, 2.695 Å, rel. 221
42.3 deg, 2.138 Å, rel. 253

```
Ca2HgH
1.0
2.7101 -6.4479 0.0000
2.7101 6.4479 0.0000
0.0000 0.0000 5.3896
Ca Hg H
4 2 2
Direct
0.1278 0.3352 0.0000
0.3352 0.1278 0.5000
0.6648 0.8722 0.5000
0.8722 0.6648 0.0000
0.0000 0.5000 0.5000
0.5000 0.0000 0.0000
0.0000 0.0000 0.2500
0.0000 0.0000 0.7500
```

(5)
For LaNd4In2, a crystal structure in Alexandria, relaxed with PBE gives the calculated powder XRD pattern in this record (a wavelength of 1.5418 Å).
Peak positions follow from Bragg's law for the DFT cell and can differ from measured ones.

Most intense lines, 10 to 90 degrees two-theta, low angle first:
29.9 deg, 2.985 Å, rel. 1000
31.6 deg, 2.830 Å, rel. 712
32.0 deg, 2.794 Å, rel. 499
32.4 deg, 2.760 Å, rel. 249
35.5 deg, 2.528 Å, rel. 264
57.9 deg, 1.593 Å, rel. 223

```
LaNd4In2
1.0
5.5875 0.0000 0.0000
0.0000 12.5729 0.0000
-0.0048 0.0000 6.5596
La Nd In
2 8 4
Direct
0.0000 0.0000 0.0000
0.0000 0.5000 0.5000
0.0022 0.1647 0.5078
0.0022 0.3353 0.0078
0.4983 0.6668 0.6495
0.4983 0.8332 0.1495
0.5017 0.1668 0.8505
0.5017 0.3332 0.3505
0.9978 0.6647 0.9922
0.9978 0.8353 0.4922
0.4981 0.5730 0.1820
0.4981 0.9270 0.6820
0.5019 0.0730 0.3180
0.5019 0.4270 0.8180
```

(6)
For Y5HgRh2, a crystal structure in Alexandria, relaxed with PBE gives the calculated powder XRD pattern in this record (a wavelength of 1.5418 Å).
Peak positions follow from Bragg's law for the DFT cell and can differ from measured ones.

Most intense lines, 10 to 90 degrees two-theta, low angle first:
20.9 deg, 4.257 Å, rel. 312
31.1 deg, 2.880 Å, rel. 330
32.6 deg, 2.747 Å, rel. 1000
35.2 deg, 2.549 Å, rel. 432
36.7 deg, 2.447 Å, rel. 837
52.9 deg, 1.731 Å, rel. 251

```
Y5HgRh2
1.0
-3.8689 3.8689 6.7747
3.8689 -3.8689 6.7747
3.8689 3.8689 -6.7747
Y Hg Rh
10 2 4
Direct
0.0000 0.0000 0.0000
0.0241 0.5241 0.8220
0.2021 0.0241 0.5000
0.2979 0.7979 0.8220
0.4759 0.2979 0.5000
0.5000 0.5000 0.0000
0.5241 0.7021 0.5000
0.7021 0.2021 0.1780
0.7979 0.9759 0.5000
0.9759 0.4759 0.1780
0.2500 0.2500 0.0000
0.7500 0.7500 0.0000
0.1386 0.3614 0.5000
0.3614 0.8614 0.2229
0.6386 0.1386 0.7771
0.8614 0.6386 0.5000
```

(7)
For Pr7TlSn5, a crystal structure in Alexandria, relaxed with PBE gives the calculated powder XRD pattern in this record (a wavelength of 1.5418 Å).
Peak positions follow from Bragg's law for the DFT cell and can differ from measured ones.

Most intense lines, 10 to 90 degrees two-theta, low angle first:
26.8 deg, 3.322 Å, rel. 639
31.5 deg, 2.842 Å, rel. 947
31.7 deg, 2.826 Å, rel. 607
32.1 deg, 2.789 Å, rel. 656
35.0 deg, 2.567 Å, rel. 533
35.7 deg, 2.512 Å, rel. 1000

```
Pr7TlSn5
1.0
-3.2345 5.8075 5.4880
3.2345 -5.8075 5.4880
3.2345 5.8075 -5.4880
Pr Tl Sn
7 1 5
Direct
0.0000 0.0000 0.0000
0.2967 0.6290 0.6677
0.3794 0.3794 0.0000
0.4458 0.1104 0.3354
0.7750 0.1104 0.6646
0.8495 0.3495 0.5000
0.9612 0.6290 0.3323
0.6826 0.6826 0.0000
0.1170 0.1256 0.4932
0.1170 0.6238 0.9914
0.3666 0.8666 0.5000
0.6324 0.1256 0.0086
0.6324 0.6238 0.5068
```

(8)
For Pm3Pr3Cd2, a crystal structure in Alexandria, relaxed with PBE gives the calculated powder XRD pattern in this record (a wavelength of 1.5418 Å).
Peak positions follow from Bragg's law for the DFT cell and can differ from measured ones.

Most intense lines, 10 to 90 degrees two-theta, low angle first:
28.7 deg, 3.107 Å, rel. 1000
29.9 deg, 2.988 Å, rel. 366
30.2 deg, 2.955 Å, rel. 268
32.5 deg, 2.757 Å, rel. 716
33.1 deg, 2.705 Å, rel. 636
33.4 deg, 2.685 Å, rel. 493

```
Pm3Pr3Cd2
1.0
2.7050 -6.0132 0.0000
2.7050 6.0132 0.0000
0.0000 0.0000 16.0028
Pm Pr Cd
6 6 4
Direct
0.0430 0.9570 0.7500
0.1437 0.8563 0.0293
0.1437 0.8563 0.4707
0.8563 0.1437 0.5293
0.8563 0.1437 0.9707
0.9570 0.0430 0.2500
0.2308 0.7692 0.2500
0.4637 0.5363 0.1076
0.4637 0.5363 0.3924
0.5363 0.4637 0.6076
0.5363 0.4637 0.8924
0.7692 0.2308 0.7500
0.2702 0.7298 0.6403
0.2702 0.7298 0.8597
0.7298 0.2702 0.1403
0.7298 0.2702 0.3597
```

(9)
For Cu2NiAu, a crystal structure in Alexandria, relaxed with PBE gives the calculated powder XRD pattern in this record (a wavelength of 1.5418 Å).
Peak positions follow from Bragg's law for the DFT cell and can differ from measured ones.

Most intense lines, 10 to 90 degrees two-theta, low angle first:
20.8 deg, 4.264 Å, rel. 299
41.2 deg, 2.193 Å, rel. 1000
41.6 deg, 2.169 Å, rel. 482
42.4 deg, 2.132 Å, rel. 460
48.1 deg, 1.892 Å, rel. 635
49.1 deg, 1.857 Å, rel. 293

```
Cu2NiAu
1.0
4.3396 -1.3586 0.0000
4.3396 1.3586 0.0000
-0.8559 0.0000 4.5141
Cu Ni Au
2 1 1
Direct
0.0000 0.0000 0.0000
0.7485 0.7485 0.2352
0.4925 0.4925 0.4682
0.2444 0.2444 0.7307
```

(10)
For Ti4In3, a crystal structure in Alexandria, relaxed with PBE gives the calculated powder XRD pattern in this record (a wavelength of 1.5418 Å).
Peak positions follow from Bragg's law for the DFT cell and can differ from measured ones.

Most intense lines, 10 to 90 degrees two-theta, low angle first:
28.6 deg, 3.118 Å, rel. 311
37.4 deg, 2.404 Å, rel. 1000
37.5 deg, 2.396 Å, rel. 561
54.1 deg, 1.694 Å, rel. 184
67.4 deg, 1.390 Å, rel. 108
67.6 deg, 1.385 Å, rel. 319

```
Ti4In3
1.0
-1.6944 1.6944 11.9401
1.6944 -1.6944 11.9401
1.6944 1.6944 -11.9401
Ti In
4 3
Direct
0.0719 0.0719 0.0000
0.3681 0.3681 0.0000
0.6319 0.6319 0.0000
0.9281 0.9281 0.0000
0.2043 0.2043 0.0000
0.5000 0.5000 0.0000
0.7957 0.7957 0.0000
```